LaCN2Cl: simulated XRD peak list (Cu Kα), based on DFT lattice parameters and positions (PBE).

Crystal structure
a = 5.364 Å, b = 4.038 Å, c = 7.630 Å
α = 90.00°, β = 100.34°, γ = 90.00°
Element x y z (fractional)
La: 0.177 0.250 0.236
La: 0.823 0.750 0.764
C: 0.347 0.250 0.858
C: 0.653 0.750 0.142
N: 0.123 0.250 0.882
N: 0.432 0.750 0.161
N: 0.568 0.250 0.839
N: 0.877 0.750 0.118
Cl: 0.255 0.750 0.542
Cl: 0.745 0.250 0.458

Top 6 peaks for 5 to 70 degrees two-theta, low angle first:
2θ/deg  I (rel.)
18.7  846
25.0  1000
27.8  584
31.5  665
34.8  938
40.8  591

=====

LaZr9O20: simulated XRD peak list (Cu Kα), based on DFT lattice parameters and positions (PBE).

Crystal structure
a = 6.494 Å, b = 7.446 Å, c = 8.243 Å
α = 77.37°, β = 75.44°, γ = 71.97°
Element x y z (fractional)
La: 0.000 0.000 0.000
Zr: 0.197 0.798 0.598
Zr: 0.205 0.301 0.598
Zr: 0.397 0.101 0.202
Zr: 0.411 0.601 0.198
Zr: 0.597 0.906 0.794
Zr: 0.606 0.411 0.791
Zr: 0.793 0.200 0.403
Zr: 0.804 0.695 0.400
Zr: 0.995 0.502 0.004
O: 0.022 0.201 0.174
O: 0.087 0.688 0.153
O: 0.112 0.581 0.474
O: 0.186 0.123 0.440
O: 0.249 0.974 0.741
O: 0.291 0.524 0.739
O: 0.322 0.377 0.056
O: 0.395 0.912 0.044
O: 0.412 0.779 0.365
O: 0.479 0.325 0.336
O: 0.522 0.183 0.650
O: 0.603 0.712 0.640
O: 0.620 0.576 0.962
O: 0.650 0.135 0.932
O: 0.710 0.979 0.271
O: 0.766 0.534 0.236
O: 0.821 0.379 0.554
O: 0.882 0.928 0.541
O: 0.918 0.774 0.854
O: 0.984 0.332 0.832

Top 6 peaks for 5 to 70 degrees two-theta, low angle first:
2θ/deg  I (rel.)
29.4  1000
29.5  333
34.4  190
48.7  242
49.5  254
58.7  135

=====

K3AsF6: simulated XRD peak list (Cu Kα), based on DFT lattice parameters and positions (PBE).

Crystal structure
a = 6.789 Å, b = 6.801 Å, c = 6.846 Å
α = 101.10°, β = 100.36°, γ = 105.56°
Element x y z (fractional)
K: 0.000 0.000 0.000
K: 0.000 0.500 0.500
K: 0.500 0.000 0.500
As: 0.000 0.000 0.500
F: 0.056 0.780 0.278
F: 0.211 0.924 0.713
F: 0.233 0.223 0.427
F: 0.767 0.777 0.573
F: 0.789 0.076 0.287
F: 0.944 0.220 0.722

Top 6 peaks for 5 to 70 degrees two-theta, low angle first:
2θ/deg  I (rel.)
13.6  541
14.0  1000
27.4  87
28.2  159
43.3  98
43.7  69

=====

SnI3: simulated XRD peak list (Cu Kα), based on DFT lattice parameters and positions (PBE).

Crystal structure
a = 6.015 Å, b = 6.015 Å, c = 6.015 Å
α = 90.00°, β = 90.00°, γ = 90.00°
Element x y z (fractional)
Sn: 0.000 0.000 0.000
I: 0.000 0.000 0.500
I: 0.000 0.500 0.000
I: 0.500 0.000 0.000

Top 6 peaks for 5 to 70 degrees two-theta, low angle first:
2θ/deg  I (rel.)
14.7  1000
25.7  393
29.7  761
33.3  554
42.5  570
45.2  296

=====

TmAgSe2: simulated XRD peak list (Cu Kα), based on DFT lattice parameters and positions (PBE).

Crystal structure
a = 4.219 Å, b = 6.825 Å, c = 13.725 Å
α = 90.00°, β = 90.00°, γ = 90.00°
Element x y z (fractional)
Tm: 0.229 0.209 0.372
Tm: 0.271 0.791 0.872
Tm: 0.729 0.291 0.628
Tm: 0.771 0.709 0.128
Ag: 0.002 0.204 0.124
Ag: 0.498 0.796 0.624
Ag: 0.502 0.296 0.876
Ag: 0.998 0.704 0.376
Se: 0.228 0.089 0.727
Se: 0.234 0.484 0.527
Se: 0.266 0.516 0.027
Se: 0.272 0.911 0.227
Se: 0.728 0.411 0.273
Se: 0.734 0.016 0.473
Se: 0.766 0.984 0.973
Se: 0.772 0.589 0.773

Top 6 peaks for 5 to 70 degrees two-theta, low angle first:
2θ/deg  I (rel.)
28.1  1000
31.7  526
36.3  627
37.2  923
45.1  419
45.5  378

=====

RbSO3F: simulated XRD peak list (Cu Kα), based on DFT lattice parameters and positions (PBE).

Crystal structure
a = 9.066 Å, b = 6.232 Å, c = 7.745 Å
α = 90.00°, β = 90.00°, γ = 90.00°
Element x y z (fractional)
Rb: 0.175 0.250 0.158
Rb: 0.325 0.750 0.658
Rb: 0.675 0.250 0.342
Rb: 0.825 0.750 0.842
S: 0.061 0.250 0.698
S: 0.439 0.750 0.198
S: 0.561 0.250 0.802
S: 0.939 0.750 0.302
O: 0.067 0.750 0.413
O: 0.088 0.053 0.794
O: 0.088 0.447 0.794
O: 0.412 0.553 0.294
O: 0.412 0.947 0.294
O: 0.433 0.250 0.913
O: 0.567 0.750 0.087
O: 0.588 0.053 0.706
O: 0.588 0.447 0.706
O: 0.912 0.553 0.206
O: 0.912 0.947 0.206
O: 0.933 0.250 0.587
F: 0.200 0.250 0.558
F: 0.300 0.750 0.058
F: 0.700 0.250 0.942
F: 0.800 0.750 0.442

Top 6 peaks for 5 to 70 degrees two-theta, low angle first:
2θ/deg  I (rel.)
24.3  1000
25.0  489
26.9  728
28.6  525
28.9  560
38.4  459

=====

Ag3AuS2: simulated XRD peak list (Cu Kα), based on DFT lattice parameters and positions (PBE).

Crystal structure
a = 5.441 Å, b = 5.441 Å, c = 5.441 Å
α = 93.88°, β = 93.88°, γ = 93.88°
Element x y z (fractional)
Ag: 0.000 0.500 0.500
Ag: 0.500 0.000 0.500
Ag: 0.500 0.500 0.000
Au: 0.000 0.000 0.000
S: 0.263 0.263 0.263
S: 0.737 0.737 0.737

Top 6 peaks for 5 to 70 degrees two-theta, low angle first:
2θ/deg  I (rel.)
27.8  1000
30.6  284
33.1  502
45.6  328
49.3  256
56.0  298

=====

NiMo2P: simulated XRD peak list (Cu Kα), based on DFT lattice parameters and positions (PBE).

Crystal structure
a = 7.086 Å, b = 7.086 Å, c = 4.789 Å
α = 108.55°, β = 108.55°, γ = 73.67°
Element x y z (fractional)
Ni: 0.012 0.313 0.410
Ni: 0.313 0.012 0.410
Ni: 0.687 0.988 0.590
Ni: 0.988 0.687 0.590
Mo: 0.000 0.500 0.000
Mo: 0.077 0.077 0.855
Mo: 0.341 0.659 0.000
Mo: 0.364 0.364 0.372
Mo: 0.500 0.000 0.000
Mo: 0.636 0.636 0.628
Mo: 0.659 0.341 0.000
Mo: 0.923 0.923 0.145
P: 0.247 0.753 0.500
P: 0.301 0.301 0.801
P: 0.699 0.699 0.199
P: 0.753 0.247 0.500

Top 6 peaks for 5 to 70 degrees two-theta, low angle first:
2θ/deg  I (rel.)
38.1  426
40.3  387
40.7  1000
41.1  830
41.3  555
47.7  483

=====

Mo3WSe6S2: simulated XRD peak list (Cu Kα), based on DFT lattice parameters and positions (PBE).

Crystal structure
a = 3.291 Å, b = 3.291 Å, c = 36.857 Å
α = 90.00°, β = 90.00°, γ = 120.00°
Element x y z (fractional)
Mo: 0.000 0.000 0.000
Mo: 0.000 0.000 0.376
Mo: 0.667 0.333 0.812
W: 0.667 0.333 0.188
Se: 0.000 0.000 0.142
Se: 0.000 0.000 0.234
Se: 0.000 0.000 0.766
Se: 0.000 0.000 0.858
Se: 0.667 0.333 0.330
Se: 0.667 0.333 0.421
S: 0.667 0.333 0.042
S: 0.667 0.333 0.958

Top 6 peaks for 5 to 70 degrees two-theta, low angle first:
2θ/deg  I (rel.)
7.2  409
12.0  1000
31.4  399
37.1  754
45.1  464
55.9  273

=====

CaIn4Pd: simulated XRD peak list (Cu Kα), based on DFT lattice parameters and positions (PBE).

Crystal structure
a = 8.755 Å, b = 8.755 Å, c = 7.644 Å
α = 90.00°, β = 90.00°, γ = 150.08°
Element x y z (fractional)
Ca: 0.128 0.872 0.750
Ca: 0.872 0.128 0.250
In: 0.066 0.934 0.250
In: 0.317 0.683 0.550
In: 0.317 0.683 0.950
In: 0.500 0.500 0.000
In: 0.500 0.500 0.500
In: 0.683 0.317 0.050
In: 0.683 0.317 0.450
In: 0.934 0.066 0.750
Pd: 0.227 0.773 0.250
Pd: 0.773 0.227 0.750

Top 6 peaks for 5 to 70 degrees two-theta, low angle first:
2θ/deg  I (rel.)
15.6  346
31.1  1000
33.1  383
35.2  387
39.7  397
39.9  399

=====

Mg5Ga: simulated XRD peak list (Cu Kα), based on DFT lattice parameters and positions (PBE).

Crystal structure
a = 5.434 Å, b = 5.434 Å, c = 5.068 Å
α = 90.00°, β = 90.00°, γ = 120.00°
Element x y z (fractional)
Mg: 0.000 0.671 0.000
Mg: 0.329 0.329 0.000
Mg: 0.333 0.667 0.500
Mg: 0.667 0.333 0.500
Mg: 0.671 0.000 0.000
Ga: 0.000 0.000 0.500

Top 6 peaks for 5 to 70 degrees two-theta, low angle first:
2θ/deg  I (rel.)
18.9  214
25.8  183
33.0  274
35.4  257
37.6  1000
65.0  187